Diffraction record for CaTlSeClO. The X-ray diffraction stick pattern is computed, not measured: it uses a structure optimized by DFT (PBE) and a wavelength of 1.5418 Å.
No peak broadening, texture or thermal motion is included.

Structure:
Lattice parameters (Å, degrees): 4.739 4.263 6.457 90.00 92.66 90.00
Space group Pm (No. 6)
Asymmetric unit:
Ca 0.000 0.000 0.000
Tl 0.483 0.500 0.490
Se 0.544 0.500 0.981
Cl 0.989 0.000 0.567
O 0.164 0.500 0.054

Most intense lines, 10° ≤ 2θ ≤ 80°, by angle:
h k l, 2theta, I/Imax
1 0 0, 18.74, 36.9
0 1 0, 20.84, 40.0
0 0 2, 27.66, 55.6
1 1 0, 28.17, 100.0
0 1 2, 34.89, 25.3
2 0 0, 38.01, 20.7
1 1 -2, 39.24, 34.7
1 1 2, 40.53, 37.2